Entry 1:
# HoAgBi
Computed PXRD pattern, Cu Kα (weighted mean of Kα1 and Kα2). Input: a GGA-PBE-relaxed structure.
No peak broadening, texture or thermal motion is included.

Peak list (6 most intense, 5° ≤ 2θ ≤ 70°, in order of rising 2θ)
- d = 2.908 Å, rel. 100, hkl 1 0 1
- d = 2.332 Å, rel. 53, hkl 1 1 0
- d = 1.860 Å, rel. 21, hkl 0 1 2
- d = 1.819 Å, rel. 26, hkl 0 2 1
- d = 1.454 Å, rel. 10, hkl 2 0 2
- d = 1.435 Å, rel. 24, hkl 2 1 1

Cell lengths 4.6644, 4.6644, 4.1898 Å; angles 90.00, 90.00, 120.00 degrees
Space group P3m1 (No. 156)
Inequivalent atoms, fractional coordinates:
Ho 0.0000 0.0000 0.0000 [1 per cell]
Ag 0.6667 0.3333 0.3355 [1 per cell]
Bi 0.3333 0.6667 0.5726 [1 per cell]

***

Entry 2:
# PrGa2Pd6
Computed PXRD pattern, Cu Kα (weighted mean of Kα1 and Kα2). Input: a GGA-PBE-relaxed structure.
No peak broadening, texture or thermal motion is included.

Peak list (6 most intense, 5° ≤ 2θ ≤ 70°, in order of rising 2θ)
- d = 3.430 Å, rel. 30, hkl 3 1 1
- d = 2.844 Å, rel. 65, hkl 4 0 0
- d = 2.189 Å, rel. 12, hkl 5 1 1
- d = 2.011 Å, rel. 100, hkl 4 4 0
- d = 1.642 Å, rel. 16, hkl 4 4 4
- d = 1.422 Å, rel. 16, hkl 8 0 0

Cell lengths 11.3759, 11.3759, 11.3759 Å; angles 90.00, 90.00, 90.00 degrees
Space group Fd-3m (No. 227, origin choice 2)
Inequivalent atoms, fractional coordinates:
Pr 0.1250 0.1250 0.1250 [8 per cell]
Ga 0.0000 0.0000 0.5000 [16 per cell]
Pd 0.1241 0.3750 0.3750 [48 per cell]

***

Entry 3:
# K5Na3Nb8O24
Computed PXRD pattern, Cu Kα (weighted mean of Kα1 and Kα2). Input: a GGA-PBE-relaxed structure.
No peak broadening, texture or thermal motion is included.

Peak list (6 most intense, 5° ≤ 2θ ≤ 70°, in order of rising 2θ)
- d = 4.038 Å, rel. 59, hkl 2 0 0
- d = 2.856 Å, rel. 100, hkl 2 2 0
- d = 2.019 Å, rel. 43, hkl 4 0 0
- d = 1.806 Å, rel. 23, hkl 4 2 0
- d = 1.649 Å, rel. 38, hkl 4 2 2
- d = 1.428 Å, rel. 24, hkl 4 4 0

Cell lengths 8.0772, 8.0772, 8.0763 Å; angles 90.00, 90.00, 90.00 degrees
Space group P4/mmm (No. 123)
Inequivalent atoms, fractional coordinates:
K 0.0000 0.0000 0.0000 [1 per cell]
K 0.0000 0.0000 0.5000 [1 per cell]
K 0.0000 0.5000 0.0000 [2 per cell]
K 0.5000 0.5000 0.0000 [1 per cell]
Na 0.0000 0.5000 0.5000 [2 per cell]
Na 0.5000 0.5000 0.5000 [1 per cell]
Nb 0.2506 0.2506 0.2518 [8 per cell]
O 0.0000 0.2521 0.2535 [8 per cell]
O 0.2507 0.2507 0.0000 [4 per cell]
O 0.2509 0.5000 0.2545 [8 per cell]
O 0.2517 0.2517 0.5000 [4 per cell]

***

Entry 4:
# Li2UZnF8
Computed PXRD pattern, Cu Kα (weighted mean of Kα1 and Kα2). Input: a GGA-PBE-relaxed structure.
No peak broadening, texture or thermal motion is included.

Peak list (6 most intense, 5° ≤ 2θ ≤ 70°, in order of rising 2θ)
- d = 6.983 Å, rel. 30, hkl 0 0 1
- d = 4.757 Å, rel. 100, hkl 0 1 0
- d = 3.394 Å, rel. 29, hkl 1 1 0
- d = 3.334 Å, rel. 27, hkl 1 -1 0
- d = 2.846 Å, rel. 27, hkl 0 1 2
- d = 2.411 Å, rel. 41, hkl 1 -1 2

Cell lengths 4.7490, 4.7699, 6.9870 Å; angles 88.59, 88.74, 88.95 degrees
Space group P-1 (No. 2)
Inequivalent atoms, fractional coordinates:
Li 0.0167 0.0169 0.3069 [2 per cell]
U 0.5000 0.5000 0.0000 [1 per cell]
Zn 0.5000 0.5000 0.5000 [1 per cell]
F 0.1847 0.1928 0.0305 [2 per cell]
F 0.2106 0.2150 0.5058 [2 per cell]
F 0.2968 0.7056 0.7454 [2 per cell]
F 0.2990 0.7085 0.2534 [2 per cell]

***

Entry 5:
# K3Np2TlO9
Computed PXRD pattern, Cu Kα (weighted mean of Kα1 and Kα2). Input: a GGA-PBE-relaxed structure.
No peak broadening, texture or thermal motion is included.

Peak list (6 most intense, 5° ≤ 2θ ≤ 70°, in order of rising 2θ)
- d = 4.298 Å, rel. 75, hkl 1 0 1
- d = 3.039 Å, rel. 100, hkl 1 1 0
- d = 2.149 Å, rel. 30, hkl 2 0 2
- d = 1.924 Å, rel. 18, hkl 1 1 3
- d = 1.920 Å, rel. 18, hkl 2 1 1
- d = 1.753 Å, rel. 31, hkl 3 0 0

Cell lengths 6.0698, 6.0698, 7.4657 Å; angles 90.00, 90.00, 120.00 degrees
Space group P-3m1 (No. 164)
Inequivalent atoms, fractional coordinates:
K 0.0000 0.0000 0.0000 [1 per cell]
K 0.3333 0.6667 0.6580 [2 per cell]
Np 0.3333 0.6667 0.1659 [2 per cell]
Tl 0.0000 0.0000 0.5000 [1 per cell]
O 0.0000 0.5000 0.0000 [3 per cell]
O 0.1755 0.3510 0.3195 [6 per cell]

***

Entry 6:
# SrLiMg
Computed PXRD pattern, Cu Kα (weighted mean of Kα1 and Kα2). Input: a GGA-PBE-relaxed structure.
No peak broadening, texture or thermal motion is included.

Peak list (6 most intense, 5° ≤ 2θ ≤ 70°, in order of rising 2θ)
- d = 6.002 Å, rel. 65, hkl 2 0 0
- d = 3.766 Å, rel. 35, hkl 2 0 -2
- d = 3.738 Å, rel. 64, hkl 1 1 0
- d = 2.835 Å, rel. 35, hkl 2 0 2
- d = 2.806 Å, rel. 100, hkl 3 1 0
- d = 2.797 Å, rel. 71, hkl 1 1 -2

Cell lengths 12.6115, 3.9331, 7.9585 Å; angles 90.00, 107.84, 90.00 degrees
Space group C2/m (No. 12)
Inequivalent atoms, fractional coordinates:
Sr 0.0000 0.0000 0.0000 [2 per cell]
Sr 0.0000 0.0000 0.5000 [2 per cell]
Li 0.1979 0.5000 0.3552 [4 per cell]
Mg 0.1944 0.5000 0.8389 [4 per cell]

***

Entry 7:
# SrAg6Sn6
Computed PXRD pattern, Cu Kα (weighted mean of Kα1 and Kα2). Input: a GGA-PBE-relaxed structure.
No peak broadening, texture or thermal motion is included.

Peak list (6 most intense, 5° ≤ 2θ ≤ 70°, in order of rising 2θ)
- d = 2.981 Å, rel. 44, hkl 1 0 3
- d = 2.569 Å, rel. 51, hkl 2 0 2
- d = 2.549 Å, rel. 86, hkl 1 2 3
- d = 2.291 Å, rel. 51, hkl 0 2 4
- d = 2.277 Å, rel. 100, hkl 2 2 2
- d = 2.219 Å, rel. 55, hkl 0 4 2

Cell lengths 5.9170, 9.8342, 10.3548 Å; angles 90.00, 90.00, 90.00 degrees
Space group Immm (No. 71)
Inequivalent atoms, fractional coordinates:
Sr 0.0000 0.0000 0.0000 [2 per cell]
Ag 0.0000 0.2612 0.5000 [4 per cell]
Ag 0.2500 0.2500 0.2500 [8 per cell]
Sn 0.0000 0.0000 0.3433 [4 per cell]
Sn 0.0000 0.3484 0.0000 [4 per cell]
Sn 0.0000 0.5000 0.3242 [4 per cell]

***

Entry 8:
# RbBi4Pb12
Computed PXRD pattern, Cu Kα (weighted mean of Kα1 and Kα2). Input: a GGA-PBE-relaxed structure.
No peak broadening, texture or thermal motion is included.

Peak list (6 most intense, 5° ≤ 2θ ≤ 70°, in order of rising 2θ)
- d = 3.465 Å, rel. 100, hkl 3 0 1
- d = 2.928 Å, rel. 27, hkl 3 1 2
- d = 2.450 Å, rel. 48, hkl 4 0 2
- d = 2.236 Å, rel. 29, hkl 4 2 2
- d = 2.149 Å, rel. 51, hkl 4 3 1
- d = 1.581 Å, rel. 15, hkl 4 4 4

Cell lengths 10.9563, 10.9563, 10.9563 Å; angles 90.00, 90.00, 90.00 degrees
Space group Im-3 (No. 204)
Inequivalent atoms, fractional coordinates:
Rb 0.0000 0.0000 0.0000 [2 per cell]
Bi 0.2500 0.2500 0.2500 [8 per cell]
Pb 0.0000 0.3574 0.1466 [24 per cell]